Record 1
Diffraction record for PaAs2HO6. The powder diffraction line list is simulated, not measured: it uses a cell relaxed with PBE and Cu Ka.
Peak positions follow from Bragg's law for the DFT cell and can differ from measured ones.

Peak list (8 most intense, 2θ from 5° to 70°, sorted by position)
2θ 21.2, rel. 100.0; 2θ 29.1, rel. 34.1; 2θ 29.3, rel. 48.1; 2θ 29.6, rel. 36.8; 2θ 31.0, rel. 45.3; 2θ 31.6, rel. 24.0; 2θ 36.0, rel. 30.1; 2θ 37.4, rel. 24.7

Crystal structure
abc: 6.061 4.594 11.338
angles: 90.00 116.88 90.00
Element x y z (fractional)
Pa 0.000 0.000 0.000
Pa 0.000 0.500 0.500
As 0.339 0.092 0.829
As 0.339 0.408 0.329
As 0.661 0.592 0.671
As 0.661 0.908 0.171
H 0.500 0.000 0.500
H 0.500 0.500 0.000
O 0.115 0.241 0.881
O 0.115 0.259 0.381
O 0.252 0.182 0.180
O 0.252 0.318 0.680
O 0.406 0.700 0.044
O 0.406 0.800 0.544
O 0.594 0.200 0.456
O 0.594 0.300 0.956
O 0.748 0.682 0.320
O 0.748 0.818 0.820
O 0.885 0.741 0.619
O 0.885 0.759 0.119

---

Record 2
Diffraction record for Ac7Pr12Dy. The powder diffraction line list is simulated, not measured: it uses a cell relaxed with PBE and Cu Ka.
Peak positions follow from Bragg's law for the DFT cell and can differ from measured ones.

Peak list (8 most intense, 2θ from 5° to 70°, sorted by position)
2θ 20.5, rel. 74.3; 2θ 27.3, rel. 25.5; 2θ 29.2, rel. 89.1; 2θ 36.0, rel. 100.0; 2θ 41.8, rel. 36.9; 2θ 47.0, rel. 28.1; 2θ 56.3, rel. 66.8; 2θ 64.6, rel. 30.5

Crystal structure
abc: 10.596 10.596 10.596
angles: 109.47 109.47 109.47
Element x y z (fractional)
Ac 0.000 0.000 0.500
Ac 0.000 0.500 0.000
Ac 0.000 0.500 0.500
Ac 0.500 0.000 0.000
Ac 0.500 0.000 0.500
Ac 0.500 0.500 0.000
Ac 0.500 0.500 0.500
Pr 0.082 0.323 0.759
Pr 0.241 0.564 0.323
Pr 0.241 0.918 0.677
Pr 0.323 0.241 0.564
Pr 0.323 0.759 0.082
Pr 0.436 0.677 0.759
Pr 0.564 0.323 0.241
Pr 0.677 0.241 0.918
Pr 0.677 0.759 0.436
Pr 0.759 0.082 0.323
Pr 0.759 0.436 0.677
Pr 0.918 0.677 0.241
Dy 0.000 0.000 0.000

---

Record 3
Diffraction record for H2PbN. The powder diffraction line list is simulated, not measured: it uses a cell relaxed with PBE and Cu Ka.
Peak positions follow from Bragg's law for the DFT cell and can differ from measured ones.

Peak list (8 most intense, 2θ from 5° to 70°, sorted by position)
2θ 22.6, rel. 100.0; 2θ 37.1, rel. 39.7; 2θ 37.5, rel. 77.3; 2θ 43.9, rel. 39.8; 2θ 44.5, rel. 19.1; 2θ 59.3, rel. 16.5; 2θ 67.1, rel. 28.2; 2θ 67.9, rel. 13.7

Crystal structure
abc: 4.800 4.800 4.800
angles: 119.39 119.39 91.07
Element x y z (fractional)
H 0.000 0.000 0.000
H 0.000 0.000 0.500
H 0.000 0.500 0.000
H 0.500 0.000 0.500
Pb 0.375 0.625 0.750
Pb 0.625 0.375 0.250
N 0.125 0.875 0.250
N 0.875 0.125 0.750

---

Record 4
Diffraction record for Ba3LiRh. The powder diffraction line list is simulated, not measured: it uses a cell relaxed with PBE and Cu Ka.
Peak positions follow from Bragg's law for the DFT cell and can differ from measured ones.

Peak list (8 most intense, 2θ from 5° to 70°, sorted by position)
2θ 11.7, rel. 77.7; 2θ 17.7, rel. 29.7; 2θ 27.1, rel. 100.0; 2θ 31.2, rel. 19.6; 2θ 33.8, rel. 25.0; 2θ 35.9, rel. 36.8; 2θ 41.2, rel. 34.0; 2θ 47.5, rel. 21.1

Crystal structure
abc: 15.176 15.176 6.650
angles: 90.00 90.00 120.00
Element x y z (fractional)
Ba 0.001 0.170 0.496
Ba 0.163 0.666 0.000
Ba 0.165 0.498 0.500
Ba 0.169 0.999 0.496
Ba 0.170 0.169 0.996
Ba 0.333 0.835 0.500
Ba 0.334 0.497 0.000
Ba 0.497 0.163 0.500
Ba 0.498 0.333 0.000
Ba 0.502 0.667 0.500
Ba 0.503 0.837 0.000
Ba 0.666 0.503 0.500
Ba 0.667 0.165 0.000
Ba 0.830 0.831 0.496
Ba 0.831 0.001 0.996
Ba 0.835 0.502 0.000
Ba 0.837 0.334 0.500
Ba 0.999 0.830 0.996
Li 0.000 0.333 0.998
Li 0.000 0.667 0.498
Li 0.333 0.000 0.998
Li 0.333 0.333 0.498
Li 0.667 0.000 0.498
Li 0.667 0.667 0.998
Rh 0.000 0.000 0.246
Rh 0.000 0.000 0.746
Rh 0.333 0.667 0.248
Rh 0.333 0.667 0.752
Rh 0.667 0.333 0.252
Rh 0.667 0.333 0.748

---

Record 5
Diffraction record for Ca4Al6SO16. The powder diffraction line list is simulated, not measured: it uses a cell relaxed with PBE and Cu Ka.
Peak positions follow from Bragg's law for the DFT cell and can differ from measured ones.

Peak list (8 most intense, 2θ from 5° to 70°, sorted by position)
2θ 23.3, rel. 100.0; 2θ 26.9, rel. 9.3; 2θ 33.2, rel. 28.3; 2θ 40.8, rel. 7.9; 2θ 40.9, rel. 8.5; 2θ 41.1, rel. 16.4; 2θ 49.9, rel. 7.6; 2θ 55.5, rel. 8.0

Crystal structure
abc: 8.094 8.094 8.094
angles: 109.70 109.70 109.02
Element x y z (fractional)
Ca 0.170 0.696 0.932
Ca 0.304 0.236 0.475
Ca 0.761 0.830 0.525
Ca 0.764 0.239 0.068
Al 0.000 0.000 0.000
Al 0.242 0.503 0.238
Al 0.265 0.004 0.762
Al 0.497 0.735 0.739
Al 0.500 0.500 0.000
Al 0.996 0.758 0.261
S 0.750 0.250 0.500
O 0.038 0.551 0.190
O 0.063 0.873 0.126
O 0.063 0.937 0.810
O 0.127 0.253 0.190
O 0.152 0.962 0.513
O 0.334 0.551 0.080
O 0.361 0.848 0.810
O 0.449 0.529 0.783
O 0.449 0.639 0.487
O 0.471 0.254 0.920
O 0.529 0.176 0.387
O 0.746 0.666 0.217
O 0.747 0.937 0.874
O 0.789 0.142 0.613
O 0.824 0.211 0.353
O 0.858 0.471 0.647

---

Record 6
Diffraction record for TcF6. The powder diffraction line list is simulated, not measured: it uses a cell relaxed with PBE and Cu Ka.
Peak positions follow from Bragg's law for the DFT cell and can differ from measured ones.

Peak list (8 most intense, 2θ from 5° to 70°, sorted by position)
2θ 18.4, rel. 41.2; 2θ 19.9, rel. 100.0; 2θ 27.2, rel. 68.6; 2θ 39.6, rel. 39.0; 2θ 42.7, rel. 13.1; 2θ 44.7, rel. 14.9; 2θ 52.0, rel. 23.1; 2θ 57.8, rel. 16.3

Crystal structure
abc: 5.163 5.163 4.812
angles: 90.00 90.00 120.00
Element x y z (fractional)
Tc 0.000 0.000 0.000
F 0.000 0.294 0.777
F 0.000 0.706 0.223
F 0.294 0.000 0.777
F 0.294 0.294 0.223
F 0.706 0.000 0.223
F 0.706 0.706 0.777